Starting from a crystal structure in Alexandria, relaxed with GGA+U, the powder diffractogram of Cs2CrF6 was computed for Cu Kα.
Neutral-atom scattering factors, no anomalous dispersion.

The 10 most intense peaks (2θ from 5° to 70°), low angle first:
hkl	two_theta	intensity
1 0 1	18.2	24.9
1 0 2	23.6	100.0
1 1 0	28.1	73.7
1 0 3	30.5	23.8
2 0 1	33.7	17.9
2 0 2	37.0	63.7
2 0 3	41.9	20.2
1 1 4	45.1	16.5
2 1 2	47.0	23.3
3 1 2	63.5	21.0

Structure:
```
Cs2CrF6
1.0
6.362 0.000 0.000
-3.181 5.509 0.000
0.000 0.000 10.368
Cs Cr F
4 2 12
Cartesian
0.000 0.000 0.000
0.000 0.000 5.184
0.000 3.673 2.859
3.181 1.836 8.043
0.000 3.673 6.843
3.181 1.836 1.660
-1.307 2.918 5.741
0.000 2.123 7.885
-1.342 4.448 7.885
1.839 1.062 2.701
1.307 2.918 5.741
0.000 5.183 5.741
3.181 0.327 0.557
1.873 2.591 0.557
1.342 4.448 7.885
4.523 1.062 2.701
3.181 3.386 2.701
4.488 2.591 0.557
```